1.
Computed powder diffractogram
Compound: Ac2Pr2Dy5
Radiation: Cu Kα (weighted mean of Kα1 and Kα2)
Structure: a DFT-relaxed cell (PBE, Alexandria)
Kinematic intensities with the Lorentz-polarization factor, no thermal factor.

Most intense lines, 2θ from 10° to 80°, low angle first:
| two_theta | I_rel |
| --- | --- |
| 25.1 | 31 |
| 26.8 | 32 |
| 28.8 | 100 |
| 32.2 | 43 |
| 32.8 | 23 |
| 33.9 | 32 |
| 34.8 | 66 |
| 41.7 | 29 |
| 50.2 | 23 |
| 59.8 | 20 |

Structural model:
Unit cell a=11.2399 b=11.2399 c=8.3897 alpha=98.37 beta=98.37 gamma=18.62
Sites, in units of the cell vectors:
Ac 0.1833 0.1833 0.1354
Ac 0.8167 0.8167 0.8646
Pr 0.4522 0.4522 0.6497
Pr 0.5478 0.5478 0.3503
Dy 0.0000 0.0000 0.0000
Dy 0.0946 0.0946 0.7243
Dy 0.3097 0.3097 0.4719
Dy 0.6903 0.6903 0.5281
Dy 0.9054 0.9054 0.2757

***

2.
Computed powder diffractogram
Compound: Mn3CdB
Radiation: Cu Kα (weighted mean of Kα1 and Kα2)
Structure: a DFT-relaxed cell (PBE, Alexandria)
Kinematic intensities with the Lorentz-polarization factor, no thermal factor.

Most intense lines, 2θ from 10° to 80°, low angle first:
| two_theta | I_rel |
| --- | --- |
| 21.9 | 10 |
| 31.2 | 16 |
| 38.5 | 100 |
| 44.7 | 53 |
| 50.3 | 5 |
| 55.5 | 6 |
| 65.1 | 32 |
| 69.6 | 2 |
| 73.9 | 3 |
| 78.2 | 33 |

Structural model:
Unit cell a=4.0544 b=4.0544 c=4.0544 alpha=90.00 beta=90.00 gamma=90.00
Sites, in units of the cell vectors:
Mn 0.0000 0.0000 0.5000
Mn 0.0000 0.5000 0.0000
Mn 0.5000 0.0000 0.0000
Cd 0.5000 0.5000 0.5000
B 0.0000 0.0000 0.0000